The following is a calculated PXRD pattern of CsK2Fe3P4ClO14. It was derived from a crystal structure in Alexandria, relaxed with GGA+U, using Cu Kα (λ = 1.5418 Å).
Lines closer than 0.1° are merged.

Structural model:
```
data_CsK2Fe3P4ClO14
_symmetry_space_group_name_H-M 'P -1'
_symmetry_Int_Tables_number 2
_symmetry_space_group_name_Hall '-P 1'
_cell_length_a 5.3927
_cell_length_b 7.7347
_cell_length_c 9.8300
_cell_angle_alpha 79.97
_cell_angle_beta 76.25
_cell_angle_gamma 89.80
loop_
_atom_site_label
_atom_site_type_symbol
_atom_site_fract_x
_atom_site_fract_y
_atom_site_fract_z
_atom_site_occupancy
Cs1 Cs 0.0000 0.0000 0.0000 1
K1 K 0.1469 0.5875 0.6700 1
Fe1 Fe 0.1688 0.1078 0.5890 1
Fe2 Fe 0.5000 0.5000 0.0000 1
P1 P 0.3701 0.7170 0.2948 1
P2 P 0.4163 0.0974 0.2537 1
Cl1 Cl 0.0000 0.5000 0.0000 1
O1 O 0.0898 0.7017 0.3808 1
O2 O 0.1740 0.0879 0.3780 1
O3 O 0.3376 0.9064 0.6922 1
O4 O 0.4056 0.9128 0.1927 1
O5 O 0.4177 0.2375 0.1265 1
O6 O 0.4262 0.5870 0.1935 1
O7 O 0.4449 0.2881 0.6085 1
```

Most intense lines, 2θ from 10° to 90°, in order of rising 2θ:
| Position (°2θ) | d [Å] | Rel. int. |
| --- | --- | --- |
| 11.63 | 7.611 | 31 |
| 23.38 | 3.805 | 16 |
| 26.36 | 3.381 | 21 |
| 28.41 | 3.141 | 100 |
| 28.50 | 3.132 | 29 |
| 29.17 | 3.061 | 29 |
| 29.50 | 3.028 | 20 |
| 30.08 | 2.970 | 20 |
| 33.25 | 2.694 | 38 |
| 33.66 | 2.662 | 16 |